# CeMg9Cd3
Calculated X-ray powder pattern, Cu Kα X-rays. Input: the GGA-PBE geometry in Alexandria.
No peak broadening, texture or thermal motion is included.

Cell and atoms:
Cell lengths 7.711, 7.711, 7.712 Å; angles 98.28, 98.28, 134.97 degrees
Atoms (fractional coordinates):
Ce (0.000, 0.000, 0.000)
Mg (0.000, 0.000, 0.500)
Mg (0.002, 0.650, 0.652)
Mg (0.288, 0.503, 0.788)
Mg (0.350, 0.998, 0.348)
Mg (0.497, 0.712, 0.212)
Mg (0.503, 0.288, 0.788)
Mg (0.650, 0.002, 0.652)
Mg (0.712, 0.497, 0.212)
Mg (0.998, 0.350, 0.348)
Cd (0.000, 0.500, 0.000)
Cd (0.500, 0.000, 0.000)
Cd (0.500, 0.500, 0.500)

Principal peaks in the range 5° ≤ 2θ ≤ 70°, in order of rising 2θ:
2θ/deg	Rel. int.
12.4	36
17.4	32
17.6	34
24.9	50
25.0	30
30.5	24
35.1	51
35.3	54
35.6	100
51.1	28